Theoretical X-ray powder pattern of Mn2CoSi for CuKα, from DFT lattice parameters and positions (GGA-PBE).
No peak broadening, texture or thermal motion is included.

Crystal structure
Unit cell a=5.6266 b=5.6266 c=5.6266 alpha=90.00 beta=90.00 gamma=90.00
Space group F-43m (No. 216)
Inequivalent atoms, fractional coordinates:
Mn: 0.0000 0.0000 0.0000 x4
Mn: 0.2500 0.2500 0.2500 x4
Co: 0.0000 0.0000 0.5000 x4
Si: 0.2500 0.2500 0.7500 x4

Top 6 peaks for 2θ = 5–70°, in order of rising 2θ:
d/Å	I/Imax	(hkl)
3.249	5	1 1 1
2.813	4	2 0 0
1.989	100	2 2 0
1.696	2	3 1 1
1.624	1	2 2 2
1.407	15	4 0 0